For PaSnGeN, a GGA-PBE-relaxed structure gives the theoretical powder XRD pattern in this record (copper Kα).
Intensities are scaled so that the largest is 100.

The 10 most intense peaks (2θ = 10–90°), low angle first:
27.5°, I 45; 27.8°, I 23; 28.4°, I 27; 30.6°, I 100; 36.6°, I 27; 45.7°, I 50; 52.4°, I 16; 54.3°, I 23; 56.0°, I 19; 75.0°, I 16

Structural model:
Cell: 3.9745 3.9745 38.4977 Å, 90.00 90.00 120.00°
Space group R-3m (No. 166, hexagonal axes)
One atom of each set of equivalent atoms:
Pa: 0.0000 0.0000 0.1295 x6
Sn: 0.0000 0.0000 0.2923 x6
Ge: 0.0000 0.0000 0.4130 x6
N: 0.0000 0.0000 0.1878 x6